This entry pairs a crystal structure of Ba2Na2MoO6 with its calculated powder X-ray diffraction pattern. Radiation: Cu Ka. Structure: a cell relaxed with PBE+U.

Largest 6 diffraction maxima, sorted by position, 2θ = 15–90°:
2θ/deg  intensity  hkl
15.28  100  0 0 1
28.04  60  2 0 0
29.14  19  2 0 -1
30.66  30  1 3 -1
33.47  51  1 3 1
37.50  21  2 0 -2

Cell and atoms:
```
data_Ba2Na2MoO6
_chemical_formula_sum 'Ba4 Na4 Mo2 O12'
_space_group_name_H-M_alt 'C 1 2/m 1'
_space_group_IT_number 12
_space_group_name_Hall '-C 2y'
_cell_length_a 6.503
_cell_length_b 11.014
_cell_length_c 5.921
_cell_angle_alpha 90.00
_cell_angle_beta 101.65
_cell_angle_gamma 90.00
loop_
_atom_site_label
_atom_site_type_symbol
_atom_site_fract_x
_atom_site_fract_y
_atom_site_fract_z
Ba1 Ba 0.000 0.162 0.000
Na1 Na 0.000 0.377 0.500
Mo1 Mo 0.000 0.500 0.000
O1 O 0.162 0.370 0.188
O2 O 0.204 0.500 0.796
```

***

This entry pairs a crystal structure of Ba2NaMoO6 with its calculated powder X-ray diffraction pattern. Radiation: Cu Ka. Structure: a cell relaxed with PBE+U.

Largest 6 diffraction maxima, sorted by position, 2θ = 15–90°:
2θ/deg  intensity  hkl
29.78  100  2 2 0
42.62  33  4 0 0
52.85  39  4 2 2
61.85  20  4 4 0
70.14  18  6 2 0
85.66  21  6 4 2

Cell and atoms:
```
data_Ba2NaMoO6
_chemical_formula_sum 'Ba8 Na4 Mo4 O24'
_space_group_name_H-M_alt 'F m -3 m'
_space_group_IT_number 225
_space_group_name_Hall '-F 4 2 3'
_cell_length_a 8.486
_cell_length_b 8.486
_cell_length_c 8.486
_cell_angle_alpha 90.00
_cell_angle_beta 90.00
_cell_angle_gamma 90.00
loop_
_atom_site_label
_atom_site_type_symbol
_atom_site_fract_x
_atom_site_fract_y
_atom_site_fract_z
Ba1 Ba 0.250 0.250 0.250
Na1 Na 0.000 0.000 0.000
Mo1 Mo 0.000 0.000 0.500
O1 O 0.000 0.000 0.271
```

***

This entry pairs a crystal structure of Ba7Nb4MoO20 with its calculated powder X-ray diffraction pattern. Radiation: Cu Ka. Structure: a cell relaxed with PBE+U.

Largest 6 diffraction maxima, sorted by position, 2θ = 15–90°:
2θ/deg  intensity  hkl
27.32  99  0 1 4
29.95  100  1 1 0
40.98  48  2 0 4
51.58  33  1 2 4
53.18  20  3 0 0
62.24  19  2 2 0

Cell and atoms:
```
data_Ba7Nb4MoO20
_chemical_formula_sum 'Ba7 Nb4 Mo1 O20'
_space_group_name_H-M_alt 'P 3 m 1'
_space_group_IT_number 156
_space_group_name_Hall 'P 3 -2"'
_cell_length_a 5.9669
_cell_length_b 5.9669
_cell_length_c 16.8444
_cell_angle_alpha 90.00
_cell_angle_beta 90.00
_cell_angle_gamma 120.00
loop_
_atom_site_label
_atom_site_type_symbol
_atom_site_fract_x
_atom_site_fract_y
_atom_site_fract_z
Ba1 Ba 0.0000 0.0000 0.0000
Ba2 Ba 0.0000 0.0000 0.2499
Ba3 Ba 0.3333 0.6667 0.1140
Ba4 Ba 0.3333 0.6667 0.5473
Ba5 Ba 0.3333 0.6667 0.8149
Ba6 Ba 0.6667 0.3333 0.3961
Ba7 Ba 0.6667 0.3333 0.6457
Nb1 Nb 0.0000 0.0000 0.4739
Nb2 Nb 0.0000 0.0000 0.7272
Nb3 Nb 0.3333 0.6667 0.3251
Nb4 Nb 0.6667 0.3333 0.1723
Mo1 Mo 0.6667 0.3333 0.9170
O1 O 0.0000 0.0000 0.8388
O2 O 0.0084 0.5042 0.2533
O3 O 0.1700 0.3400 0.3903
O4 O 0.1709 0.3419 0.6906
O5 O 0.3232 0.1616 0.5265
O6 O 0.3448 0.1724 0.1174
O7 O 0.5020 0.0041 0.9515
O8 O 0.6667 0.3333 0.8103
```

***

This entry pairs a crystal structure of Ba2NdMo3O12 with its calculated powder X-ray diffraction pattern. Radiation: Cu Ka. Structure: a cell relaxed with PBE+U.

Largest 6 diffraction maxima, sorted by position, 2θ = 15–90°:
2θ/deg  intensity  hkl
23.60  35  1 1 0
27.86  51  0 2 1
28.69  100  1 1 3
29.42  53  2 0 2
30.30  48  0 1 5
48.29  48  2 2 0

Cell and atoms:
```
data_Ba2NdMo3O12
_chemical_formula_sum 'Ba6 Nd3 Mo9 O36'
_space_group_name_H-M_alt 'R -3 m'
_space_group_IT_number 166
_space_group_name_Hall '-R 3 2"'
_cell_length_a 7.5388
_cell_length_b 7.5388
_cell_length_c 16.5311
_cell_angle_alpha 90.00
_cell_angle_beta 90.00
_cell_angle_gamma 120.00
loop_
_atom_site_label
_atom_site_type_symbol
_atom_site_fract_x
_atom_site_fract_y
_atom_site_fract_z
Ba1 Ba 0.0000 0.0000 0.1177
Nd1 Nd 0.0000 0.0000 0.5000
Mo1 Mo 0.0000 0.5000 0.0000
O1 O 0.0311 0.5156 0.8859
O2 O 0.0851 0.5425 0.3180
```